1.
Computed XRD peak list
Compound: LaAl5PtAu
Radiation: Cu Ka
Structure: the PBE geometry in OQMD

Atomic structure:
```
8
Lattice="-2.085 3.675 5.001 2.085 -3.675 5.001 2.085 3.675 -5.001" Properties=species:S:1:pos:R:3 pbc="T T T"
La 0.000 0.000 0.000
Al 2.085 2.248 -1.414
Al 2.085 2.328 1.509
Al 0.000 3.675 0.026
Al 0.000 1.427 3.587
Al 0.000 1.347 6.510
Pt 0.000 3.675 2.444
Au 2.085 0.000 2.545
```

Largest 12 diffraction maxima, low angle first, 2θ from 10° to 80°:
2theta	d (Å)	I/Imax
17.7	5.001	24
24.2	3.675	42
24.5	3.626	20
30.4	2.936	100
33.7	2.658	16
35.9	2.500	14
43.4	2.085	18
43.8	2.067	30
44.0	2.059	15
46.7	1.946	36
61.2	1.515	16
63.4	1.468	20

***

2.
Computed XRD peak list
Compound: Mg3Cd5
Radiation: Cu Ka
Structure: the PBE geometry in OQMD

Atomic structure:
```
16
Lattice="-3.085 6.127 4.438 3.085 -6.127 4.438 3.085 6.127 -4.438" Properties=species:S:1:pos:R:3 pbc="T T T"
Mg 4.564 1.595 0.000
Mg 0.000 0.000 2.219
Mg 1.478 4.532 0.000
Mg 1.607 1.595 4.438
Mg 0.000 0.000 6.657
Mg -1.478 4.532 4.438
Cd 3.085 3.078 -2.219
Cd 1.463 1.447 0.000
Cd 3.085 0.000 2.219
Cd 1.463 -1.447 4.438
Cd 0.000 3.049 2.219
Cd 3.085 3.078 2.219
Cd 1.622 7.574 0.000
Cd 0.000 6.127 2.219
Cd 1.622 4.680 4.438
Cd 0.000 3.049 6.657
```

Largest 12 diffraction maxima, low angle first, 2θ from 10° to 80°:
2theta	d (Å)	I/Imax
22.8	3.905	46
25.8	3.457	11
35.4	2.533	100
35.6	2.521	98
36.7	2.446	13
40.7	2.219	34
41.5	2.174	63
59.5	1.553	41
70.6	1.334	13
70.7	1.332	12
71.7	1.316	22
72.1	1.311	24